This entry pairs a crystal structure of NaVRuO6 with its simulated powder diffractogram. Radiation: copper Kα. Structure: a DFT-relaxed cell (PBE+U, Alexandria).
Neutral-atom scattering factors, no anomalous dispersion.

Crystal structure
```
NaVRuO6
1.0
5.1066 0.0000 0.0000
-2.5533 4.4224 0.0000
0.0000 0.0000 5.2137
Na V Ru O
1 1 1 6
Direct
0.0000 0.0000 0.0000 Na
0.3333 0.6667 0.5515 V
0.6667 0.3333 0.4660 Ru
0.0028 0.3751 0.7035 O
0.0073 0.6247 0.2957 O
0.3724 0.9972 0.7035 O
0.3753 0.3826 0.2957 O
0.6174 0.9927 0.2957 O
0.6249 0.6276 0.7035 O
```

Peak list (10 most intense, 2θ = 15–90°, most intense first)
26.43°, intensity 100
17.01°, intensity 87
50.00°, intensity 47
20.08°, intensity 46
39.29°, intensity 44
35.15°, intensity 29
57.94°, intensity 21
44.51°, intensity 19
40.15°, intensity 17
63.06°, intensity 17

This entry pairs a crystal structure of NaVRuO4 with its simulated powder diffractogram. Radiation: copper Kα. Structure: a DFT-relaxed cell (PBE+U, Alexandria).
Neutral-atom scattering factors, no anomalous dispersion.

Crystal structure
```
NaVRuO4
1.0
2.7768 -4.5679 0.0000
2.7768 4.5679 0.0000
0.0000 0.0000 6.6964
Na V Ru O
2 2 2 8
Direct
0.1792 0.8208 0.7500 Na
0.8208 0.1792 0.2500 Na
0.1580 0.8420 0.2500 V
0.8420 0.1580 0.7500 V
0.5000 0.5000 0.0000 Ru
0.5000 0.5000 0.5000 Ru
0.2344 0.3055 0.7500 O
0.2857 0.7143 0.0528 O
0.2857 0.7143 0.4472 O
0.3055 0.2344 0.2500 O
0.6945 0.7656 0.7500 O
0.7143 0.2857 0.5528 O
0.7143 0.2857 0.9472 O
0.7656 0.6945 0.2500 O
```

Peak list (10 most intense, 2θ = 15–90°, most intense first)
32.73°, intensity 100
18.70°, intensity 59
33.56°, intensity 58
32.24°, intensity 41
46.93°, intensity 36
59.21°, intensity 25
57.80°, intensity 22
19.43°, intensity 21
60.04°, intensity 19
65.85°, intensity 18

This entry pairs a crystal structure of NaV2RuO8 with its simulated powder diffractogram. Radiation: copper Kα. Structure: a DFT-relaxed cell (PBE+U, Alexandria).
Neutral-atom scattering factors, no anomalous dispersion.

Crystal structure
```
NaV2RuO8
1.0
5.6264 0.0000 0.0000
-2.8132 4.8726 0.0000
0.0000 0.0000 6.4782
Na V Ru O
1 2 1 8
Direct
0.0000 0.0000 0.0000 Na
0.3333 0.6667 0.2380 V
0.6667 0.3333 0.7620 V
0.0000 0.0000 0.5000 Ru
0.1591 0.3182 0.3197 O
0.1591 0.8409 0.3197 O
0.3182 0.1591 0.6803 O
0.3333 0.6667 0.9842 O
0.6667 0.3333 0.0158 O
0.6818 0.8409 0.3197 O
0.8409 0.1591 0.6803 O
0.8409 0.6818 0.6803 O
```

Peak list (10 most intense, 2θ = 15–90°, most intense first)
22.84°, intensity 100
31.81°, intensity 46
33.21°, intensity 33
18.21°, intensity 24
46.65°, intensity 24
51.59°, intensity 19
57.57°, intensity 15
66.63°, intensity 12
66.47°, intensity 10
45.97°, intensity 8